Entry 1:
The following is a simulated powder XRD pattern of Sc5Si2Sn2. It was derived from a PBE-relaxed structure, using Cu Kα X-rays.
Lines closer than 0.1° are merged.

Largest 10 diffraction maxima, most intense first, 2θ from 10° to 90°:
| 2θ (°) | d_spacing | Rel. int. | (hkl) |
| --- | --- | --- | --- |
| 35.7 | 2.514 | 100.0 | 5 1 1 |
| 34.6 | 2.589 | 95.8 | 0 2 2 |
| 34.9 | 2.572 | 71.1 | 4 2 0 |
| 35.1 | 2.558 | 69.8 | 4 0 2 |
| 27.2 | 3.279 | 57.9 | 2 2 0 |
| 12.3 | 7.188 | 49.0 | 2 0 0 |
| 27.5 | 3.249 | 44.6 | 2 0 2 |
| 47.6 | 1.909 | 42.3 | 7 1 1 |
| 36.9 | 2.436 | 41.3 | 2 2 2 |
| 25.3 | 3.517 | 39.1 | 3 1 1 |

Crystal structure
```
data_Sc5Si2Sn2
_chemical_formula_sum 'Sc20 Si8 Sn8'
_space_group_name_H-M_alt 'C m c e'
_space_group_IT_number 64
_space_group_name_Hall '-C 2ac 2'
_cell_length_a 14.3763
_cell_length_b 7.3631
_cell_length_c 7.2841
_cell_angle_alpha 90.00
_cell_angle_beta 90.00
_cell_angle_gamma 90.00
loop_
_atom_site_label
_atom_site_type_symbol
_atom_site_fract_x
_atom_site_fract_y
_atom_site_fract_z
Sc1 Sc 0.0000 0.0000 0.0000
Sc2 Sc 0.1242 0.1737 0.3265
Si1 Si 0.0000 0.1256 0.6260
Sn1 Sn 0.2149 0.0000 0.0000
```

***

Entry 2:
The following is a simulated powder XRD pattern of Sc4SiSn. It was derived from a PBE-relaxed structure, using Cu Kα X-rays.
Lines closer than 0.1° are merged.

Largest 10 diffraction maxima, most intense first, 2θ from 10° to 90°:
| 2θ (°) | d_spacing | Rel. int. | (hkl) |
| --- | --- | --- | --- |
| 30.1 | 2.972 | 100.0 | 2 0 1 |
| 38.2 | 2.358 | 91.7 | 0 2 0 |
| 12.3 | 7.219 | 31.2 | 0 0 1 |
| 47.5 | 1.913 | 29.4 | 1 1 3 |
| 40.0 | 2.256 | 27.3 | 2 0 2 |
| 49.3 | 1.847 | 24.0 | 2 2 1 |
| 27.4 | 3.261 | 21.9 | 1 1 1 |
| 46.0 | 1.974 | 21.8 | 3 1 1 |
| 64.0 | 1.454 | 21.3 | 5 1 0 |
| 24.7 | 3.609 | 19.2 | 0 0 2 |

Crystal structure
```
data_Sc4SiSn
_chemical_formula_sum 'Sc8 Si2 Sn2'
_space_group_name_H-M_alt 'C 1 2/m 1'
_space_group_IT_number 12
_cell_length_a 8.1689
_cell_length_b 4.7172
_cell_length_c 7.7178
_cell_angle_alpha 90.00
_cell_angle_beta 110.72
_cell_angle_gamma 90.00
loop_
_space_group_symop_operation_xyz
'x,y,z'
'-x,-y,-z'
'-x,y,-z'
'x,-y,z'
'x+1/2,y+1/2,z'
'-x+1/2,-y+1/2,-z'
'-x+1/2,y+1/2,-z'
'x+1/2,-y+1/2,z'
loop_
_atom_site_label
_atom_site_type_symbol
_atom_site_fract_x
_atom_site_fract_y
_atom_site_fract_z
Sc1 Sc 0.1229 0.0000 0.3690
Sc2 Sc 0.2074 0.5000 0.1223
Si1 Si 0.0000 0.0000 0.0000
Sn1 Sn 0.0000 0.5000 0.5000
```

***

Entry 3:
The following is a simulated powder XRD pattern of SrScSi4. It was derived from a PBE-relaxed structure, using Cu Kα X-rays.
Lines closer than 0.1° are merged.

Largest 10 diffraction maxima, most intense first, 2θ from 10° to 90°:
| 2θ (°) | d_spacing | Rel. int. | (hkl) |
| --- | --- | --- | --- |
| 32.5 | 2.754 | 100.0 | 2 1 1 |
| 30.2 | 2.964 | 46.4 | 1 3 1 |
| 31.7 | 2.822 | 45.6 | 0 4 1 |
| 36.5 | 2.465 | 44.6 | 2 3 1 |
| 33.8 | 2.649 | 42.8 | 1 4 1 |
| 44.4 | 2.040 | 36.1 | 0 0 2 |
| 37.1 | 2.424 | 29.4 | 2 5 0 |
| 42.2 | 2.143 | 27.7 | 3 4 0 |
| 23.9 | 3.731 | 23.4 | 2 1 0 |
| 27.2 | 3.273 | 17.7 | 1 2 1 |

Crystal structure
```
data_SrScSi4
_chemical_formula_sum 'Sr4 Sc4 Si16'
_space_group_name_H-M_alt 'P b a m'
_space_group_IT_number 55
_cell_length_a 7.6839
_cell_length_b 15.6241
_cell_length_c 4.0810
_cell_angle_alpha 90.00
_cell_angle_beta 90.00
_cell_angle_gamma 90.00
loop_
_space_group_symop_operation_xyz
'x,y,z'
'-x,-y,-z'
'-x,-y,z'
'x,y,-z'
'x+1/2,-y+1/2,-z'
'-x+1/2,y+1/2,z'
'-x+1/2,y+1/2,-z'
'x+1/2,-y+1/2,z'
loop_
_atom_site_label
_atom_site_type_symbol
_atom_site_fract_x
_atom_site_fract_y
_atom_site_fract_z
Sr1 Sr 0.1222 0.1546 0.0000
Sc1 Sc 0.1279 0.4133 0.0000
Si1 Si 0.0298 0.6911 0.5000
Si2 Si 0.1255 0.9541 0.5000
Si3 Si 0.1256 0.5446 0.5000
Si4 Si 0.2230 0.8076 0.5000
```

***

Entry 4:
The following is a simulated powder XRD pattern of SrSc2Si2. It was derived from a PBE-relaxed structure, using Cu Kα X-rays.
Lines closer than 0.1° are merged.

Largest 10 diffraction maxima, most intense first, 2θ from 10° to 90°:
| 2θ (°) | d_spacing | Rel. int. | (hkl) |
| --- | --- | --- | --- |
| 31.9 | 2.803 | 100.0 | 1 1 2 |
| 30.2 | 2.956 | 44.5 | 1 0 3 |
| 40.0 | 2.256 | 41.0 | 2 0 0 |
| 43.4 | 2.083 | 23.7 | 1 0 5 |
| 67.6 | 1.386 | 20.5 | 3 1 2 |
| 50.9 | 1.793 | 19.9 | 2 1 3 |
| 60.5 | 1.530 | 17.5 | 2 1 5 |
| 21.1 | 4.212 | 13.7 | 1 0 1 |
| 57.8 | 1.595 | 13.1 | 2 2 0 |
| 30.5 | 2.935 | 12.3 | 0 0 4 |

Crystal structure
```
data_SrSc2Si2
_chemical_formula_sum 'Sr2 Sc4 Si4'
_space_group_name_H-M_alt 'I 4/m m m'
_space_group_IT_number 139
_space_group_name_Hall '-I 4 2'
_cell_length_a 4.5121
_cell_length_b 4.5121
_cell_length_c 11.7404
_cell_angle_alpha 90.00
_cell_angle_beta 90.00
_cell_angle_gamma 90.00
loop_
_atom_site_label
_atom_site_type_symbol
_atom_site_fract_x
_atom_site_fract_y
_atom_site_fract_z
Sr1 Sr 0.0000 0.0000 0.0000
Sc1 Sc 0.0000 0.5000 0.2500
Si1 Si 0.0000 0.0000 0.3892
```

***

Entry 5:
The following is a simulated powder XRD pattern of TbSc2Si2. It was derived from a PBE-relaxed structure, using Cu Kα X-rays.
Lines closer than 0.1° are merged.

Largest 10 diffraction maxima, most intense first, 2θ from 10° to 90°:
| 2θ (°) | d_spacing | Rel. int. | (hkl) |
| --- | --- | --- | --- |
| 32.1 | 2.785 | 100.0 | 1 3 1 |
| 31.1 | 2.873 | 66.3 | 1 1 2 |
| 35.6 | 2.525 | 38.2 | 0 2 3 |
| 30.6 | 2.917 | 28.6 | 0 4 1 |
| 17.8 | 4.981 | 28.6 | 0 2 1 |
| 43.0 | 2.105 | 23.0 | 2 0 0 |
| 22.3 | 3.988 | 22.4 | 1 1 0 |
| 21.5 | 4.142 | 19.3 | 0 0 2 |
| 24.8 | 3.594 | 19.1 | 1 1 1 |
| 57.0 | 1.617 | 18.9 | 2 2 3 |

Crystal structure
```
data_TbSc2Si2
_chemical_formula_sum 'Tb4 Sc8 Si8'
_space_group_name_H-M_alt 'C m c 21'
_space_group_IT_number 36
_cell_length_a 4.2095
_cell_length_b 12.4687
_cell_length_c 8.2837
_cell_angle_alpha 90.00
_cell_angle_beta 90.00
_cell_angle_gamma 90.00
loop_
_space_group_symop_operation_xyz
'x,y,z'
'-x,-y,z+1/2'
'-x,y,z'
'x,-y,z+1/2'
'x+1/2,y+1/2,z'
'-x+1/2,-y+1/2,z+1/2'
'-x+1/2,y+1/2,z'
'x+1/2,-y+1/2,z+1/2'
loop_
_atom_site_label
_atom_site_type_symbol
_atom_site_fract_x
_atom_site_fract_y
_atom_site_fract_z
Tb1 Tb 0.0000 0.0865 0.0000
Sc1 Sc 0.0000 0.1874 0.6125
Sc2 Sc 0.0000 0.3747 0.8556
Si1 Si 0.0000 0.2592 0.3012
Si2 Si 0.0000 0.4496 0.1737
```

***

Entry 6:
The following is a simulated powder XRD pattern of ScSi2Te6. It was derived from a PBE-relaxed structure, using Cu Kα X-rays.
Lines closer than 0.1° are merged.

Largest 10 diffraction maxima, most intense first, 2θ from 10° to 90°:
| 2θ (°) | d_spacing | Rel. int. | (hkl) |
| --- | --- | --- | --- |
| 26.8 | 3.330 | 100.0 | 1 3 1 |
| 31.1 | 2.879 | 72.2 | 2 0 2 |
| 44.6 | 2.031 | 33.6 | 5 3 1 |
| 26.9 | 3.309 | 31.8 | 4 0 0 |
| 52.7 | 1.738 | 25.6 | 3 3 3 |
| 44.3 | 2.043 | 22.2 | 1 3 -3 |
| 52.9 | 1.731 | 14.2 | 6 0 2 |
| 44.5 | 2.037 | 10.8 | 0 6 0 |
| 52.8 | 1.735 | 8.7 | 4 6 0 |
| 55.2 | 1.664 | 8.2 | 2 6 2 |

Crystal structure
```
data_ScSi2Te6
_chemical_formula_sum 'Sc4 Si8 Te24'
_space_group_name_H-M_alt 'C 1 2/c 1'
_space_group_IT_number 15
_cell_length_a 13.4444
_cell_length_b 12.2227
_cell_length_c 7.0819
_cell_angle_alpha 90.00
_cell_angle_beta 100.12
_cell_angle_gamma 90.00
loop_
_space_group_symop_operation_xyz
'x,y,z'
'-x,-y,-z'
'-x,y,-z+1/2'
'x,-y,z+1/2'
'x+1/2,y+1/2,z'
'-x+1/2,-y+1/2,-z'
'-x+1/2,y+1/2,-z+1/2'
'x+1/2,-y+1/2,z+1/2'
loop_
_atom_site_label
_atom_site_type_symbol
_atom_site_fract_x
_atom_site_fract_y
_atom_site_fract_z
Sc1 Sc 0.0000 0.1035 0.2500
Si1 Si 0.1941 0.4216 0.3252
Te1 Te 0.1126 0.0899 0.6432
Te2 Te 0.1263 0.4043 0.6422
Te3 Te 0.1313 0.2604 0.1134
```

***

Entry 7:
The following is a simulated powder XRD pattern of ScSi4Te. It was derived from a PBE-relaxed structure, using Cu Kα X-rays.
Lines closer than 0.1° are merged.

Largest 10 diffraction maxima, most intense first, 2θ from 10° to 90°:
| 2θ (°) | d_spacing | Rel. int. | (hkl) |
| --- | --- | --- | --- |
| 40.1 | 2.248 | 100.0 | 3 1 1 |
| 34.0 | 2.636 | 66.3 | 2 2 0 |
| 20.6 | 4.304 | 36.2 | 1 1 1 |
| 65.0 | 1.435 | 31.0 | 3 3 3 |
| 60.9 | 1.522 | 23.4 | 4 2 2 |
| 71.6 | 1.318 | 20.2 | 4 4 0 |
| 23.9 | 3.727 | 17.6 | 2 0 0 |
| 42.0 | 2.152 | 16.5 | 2 2 2 |
| 85.4 | 1.137 | 11.0 | 5 3 3 |
| 81.7 | 1.179 | 9.8 | 6 2 0 |

Crystal structure
```
data_ScSi4Te
_chemical_formula_sum 'Sc4 Si16 Te4'
_space_group_name_H-M_alt 'F -4 3 m'
_space_group_IT_number 216
_space_group_name_Hall 'F -4 2 3'
_cell_length_a 7.4546
_cell_length_b 7.4546
_cell_length_c 7.4546
_cell_angle_alpha 90.00
_cell_angle_beta 90.00
_cell_angle_gamma 90.00
loop_
_atom_site_label
_atom_site_type_symbol
_atom_site_fract_x
_atom_site_fract_y
_atom_site_fract_z
Sc1 Sc 0.0000 0.0000 0.0000
Si1 Si 0.1249 0.1249 0.6249
Te1 Te 0.2500 0.2500 0.2500
```

***

Entry 8:
The following is a simulated powder XRD pattern of ScSiTe2. It was derived from a PBE-relaxed structure, using Cu Kα X-rays.
Lines closer than 0.1° are merged.

Largest 10 diffraction maxima, most intense first, 2θ from 10° to 90°:
| 2θ (°) | d_spacing | Rel. int. | (hkl) |
| --- | --- | --- | --- |
| 31.3 | 2.855 | 100.0 | 1 1 1 |
| 27.0 | 3.300 | 49.6 | 1 0 2 |
| 32.4 | 2.763 | 46.4 | 0 1 3 |
| 39.2 | 2.298 | 31.0 | 1 1 3 |
| 32.7 | 2.736 | 25.3 | 0 0 4 |
| 52.0 | 1.760 | 21.1 | 1 1 5 |
| 42.8 | 2.115 | 20.7 | 0 2 0 |
| 55.5 | 1.656 | 19.6 | 2 1 3 |
| 43.8 | 2.068 | 19.3 | 2 0 0 |
| 72.7 | 1.301 | 18.3 | 2 2 4 |

Crystal structure
```
data_ScSiTe2
_chemical_formula_sum 'Sc2 Si2 Te4'
_space_group_name_H-M_alt 'A m m 2'
_space_group_IT_number 38
_cell_length_a 4.1370
_cell_length_b 4.2303
_cell_length_c 10.9459
_cell_angle_alpha 90.00
_cell_angle_beta 90.00
_cell_angle_gamma 90.00
loop_
_space_group_symop_operation_xyz
'x,y,z'
'-x,-y,z'
'-x,y,z'
'x,-y,z'
'x,y+1/2,z+1/2'
'-x,-y+1/2,z+1/2'
'-x,y+1/2,z+1/2'
'x,-y+1/2,z+1/2'
loop_
_atom_site_label
_atom_site_type_symbol
_atom_site_fract_x
_atom_site_fract_y
_atom_site_fract_z
Sc1 Sc 0.0000 0.0000 0.0000
Si1 Si 0.5000 0.0000 0.1706
Te1 Te 0.0000 0.0000 0.6944
Te2 Te 0.5000 0.0000 0.4093
```

***

Entry 9:
The following is a simulated powder XRD pattern of Sc5SiTe4. It was derived from a PBE-relaxed structure, using Cu Kα X-rays.
Lines closer than 0.1° are merged.

Largest 10 diffraction maxima, most intense first, 2θ from 10° to 90°:
| 2θ (°) | d_spacing | Rel. int. | (hkl) |
| --- | --- | --- | --- |
| 30.6 | 2.923 | 100.0 | 1 3 0 |
| 44.1 | 2.053 | 70.7 | 1 3 2 |
| 26.5 | 3.360 | 55.1 | 2 1 1 |
| 31.0 | 2.883 | 49.9 | 0 0 2 |
| 54.6 | 1.680 | 33.7 | 4 2 2 |
| 43.8 | 2.067 | 33.0 | 4 2 0 |
| 51.9 | 1.760 | 20.9 | 3 4 1 |
| 80.7 | 1.191 | 16.9 | 7 1 2 |
| 73.2 | 1.293 | 14.9 | 1 3 4 |
| 72.5 | 1.304 | 12.3 | 2 6 2 |

Crystal structure
```
data_Sc5SiTe4
_chemical_formula_sum 'Sc10 Si2 Te8'
_space_group_name_H-M_alt 'I 4/m'
_space_group_IT_number 87
_space_group_name_Hall '-I 4'
_cell_length_a 9.2437
_cell_length_b 9.2437
_cell_length_c 5.7668
_cell_angle_alpha 90.00
_cell_angle_beta 90.00
_cell_angle_gamma 90.00
loop_
_atom_site_label
_atom_site_type_symbol
_atom_site_fract_x
_atom_site_fract_y
_atom_site_fract_z
Sc1 Sc 0.0000 0.0000 0.0000
Sc2 Sc 0.0942 0.2660 0.5000
Si1 Si 0.0000 0.0000 0.5000
Te1 Te 0.0915 0.3065 0.0000
```

***

Entry 10:
The following is a simulated powder XRD pattern of TmSc4Si4. It was derived from a PBE-relaxed structure, using Cu Kα X-rays.
Lines closer than 0.1° are merged.

Largest 10 diffraction maxima, most intense first, 2θ from 10° to 90°:
| 2θ (°) | d_spacing | Rel. int. | (hkl) |
| --- | --- | --- | --- |
| 19.4 | 4.567 | 100.0 | 1 0 1 |
| 32.6 | 2.748 | 94.6 | 1 3 0 |
| 28.4 | 3.148 | 85.5 | 2 1 1 |
| 41.0 | 2.199 | 39.6 | 2 3 1 |
| 46.3 | 1.962 | 29.6 | 4 1 1 |
| 35.0 | 2.564 | 23.2 | 1 0 2 |
| 29.1 | 3.073 | 23.1 | 2 2 0 |
| 47.3 | 1.920 | 21.9 | 1 3 2 |
| 46.7 | 1.943 | 19.6 | 4 2 0 |
| 36.5 | 2.460 | 18.4 | 1 1 2 |

Crystal structure
```
data_TmSc4Si4
_chemical_formula_sum 'Tm2 Sc8 Si8'
_space_group_name_H-M_alt 'P 42/n'
_space_group_IT_number 86
_cell_length_a 8.6905
_cell_length_b 8.6905
_cell_length_c 5.3678
_cell_angle_alpha 90.00
_cell_angle_beta 90.00
_cell_angle_gamma 90.00
loop_
_space_group_symop_operation_xyz
'x,y,z'
'-x,-y,-z'
'-y,x+1/2,z+1/2'
'y,-x+1/2,-z+1/2'
'-x+1/2,-y+1/2,z'
'x+1/2,y+1/2,-z'
'y+1/2,-x,z+1/2'
'-y+1/2,x,-z+1/2'
loop_
_atom_site_label
_atom_site_type_symbol
_atom_site_fract_x
_atom_site_fract_y
_atom_site_fract_z
Tm1 Tm 0.2500 0.2500 0.2500
Sc1 Sc 0.1004 0.6411 0.1291
Si1 Si 0.0434 0.5992 0.6376
```

***

Entry 11:
The following is a simulated powder XRD pattern of ScV4Si3. It was derived from a PBE-relaxed structure, using Cu Kα X-rays.
Lines closer than 0.1° are merged.

Largest 10 diffraction maxima, most intense first, 2θ from 10° to 90°:
| 2θ (°) | d_spacing | Rel. int. | (hkl) |
| --- | --- | --- | --- |
| 42.5 | 2.126 | 100.0 | 0 3 3 |
| 44.5 | 2.035 | 74.5 | 2 3 1 |
| 41.4 | 2.182 | 53.7 | 1 1 3 |
| 44.1 | 2.054 | 37.0 | 2 0 2 |
| 42.1 | 2.145 | 36.2 | 1 4 2 |
| 38.2 | 2.354 | 26.8 | 0 5 1 |
| 37.8 | 2.383 | 20.5 | 0 4 2 |
| 39.2 | 2.298 | 19.6 | 2 1 1 |
| 43.8 | 2.067 | 17.8 | 0 6 0 |
| 63.9 | 1.457 | 17.3 | 2 6 2 |

Crystal structure
```
data_ScV4Si3
_chemical_formula_sum 'Sc4 V16 Si12'
_space_group_name_H-M_alt 'A m m 2'
_space_group_IT_number 38
_cell_length_a 4.9260
_cell_length_b 12.4044
_cell_length_c 7.4452
_cell_angle_alpha 90.00
_cell_angle_beta 90.00
_cell_angle_gamma 90.00
loop_
_space_group_symop_operation_xyz
'x,y,z'
'-x,-y,z'
'-x,y,z'
'x,-y,z'
'x,y+1/2,z+1/2'
'-x,-y+1/2,z+1/2'
'-x,y+1/2,z+1/2'
'x,-y+1/2,z+1/2'
loop_
_atom_site_label
_atom_site_type_symbol
_atom_site_fract_x
_atom_site_fract_y
_atom_site_fract_z
Sc1 Sc 0.0000 0.1157 0.0000
V1 V 0.0000 0.0000 0.6250
V2 V 0.2498 0.1682 0.3864
V3 V 0.5000 0.0000 0.1579
V4 V 0.5000 0.1200 0.7621
Si1 Si 0.0000 0.0000 0.2935
Si2 Si 0.0000 0.1977 0.6818
Si3 Si 0.5000 0.0000 0.4946
Si4 Si 0.5000 0.1986 0.0864
```

***

Entry 12:
The following is a simulated powder XRD pattern of Y5Sc5Si6. It was derived from a PBE-relaxed structure, using Cu Kα X-rays.
Lines closer than 0.1° are merged.

Largest 10 diffraction maxima, most intense first, 2θ from 10° to 90°:
| 2θ (°) | d_spacing | Rel. int. | (hkl) |
| --- | --- | --- | --- |
| 36.6 | 2.453 | 100.0 | 1 4 2 |
| 37.1 | 2.425 | 69.8 | 2 3 1 |
| 36.5 | 2.462 | 46.6 | 1 1 3 |
| 26.3 | 3.394 | 42.3 | 1 0 2 |
| 32.4 | 2.767 | 32.5 | 2 1 1 |
| 29.8 | 3.003 | 30.3 | 2 0 0 |
| 33.4 | 2.686 | 27.3 | 0 5 1 |
| 57.3 | 1.607 | 26.1 | 3 4 2 |
| 37.8 | 2.377 | 24.3 | 0 3 3 |
| 60.4 | 1.533 | 18.9 | 2 4 4 |

Crystal structure
```
data_Y5Sc5Si6
_chemical_formula_sum 'Y10 Sc10 Si12'
_space_group_name_H-M_alt 'A m m 2'
_space_group_IT_number 38
_cell_length_a 6.0057
_cell_length_b 14.1944
_cell_length_c 8.2481
_cell_angle_alpha 90.00
_cell_angle_beta 90.00
_cell_angle_gamma 90.00
loop_
_space_group_symop_operation_xyz
'x,y,z'
'-x,-y,z'
'-x,y,z'
'x,-y,z'
'x,y+1/2,z+1/2'
'-x,-y+1/2,z+1/2'
'-x,y+1/2,z+1/2'
'x,-y+1/2,z+1/2'
loop_
_atom_site_label
_atom_site_type_symbol
_atom_site_fract_x
_atom_site_fract_y
_atom_site_fract_z
Y1 Y 0.0000 0.0000 0.0000
Y2 Y 0.0000 0.1216 0.3721
Y3 Y 0.5000 0.1228 0.1263
Sc1 Sc 0.2506 0.1663 0.7475
Sc2 Sc 0.5000 0.0000 0.4981
Si1 Si 0.0000 0.0000 0.6482
Si2 Si 0.0000 0.1999 0.0497
Si3 Si 0.5000 0.0000 0.8440
Si4 Si 0.5000 0.1950 0.4506
```